Entry 1:
For La18In3Co28, a structure optimized by DFT (PBE) gives the computed XRD peak list in this record (Cu Kα (λ = 1.5418 Å)).
No peak broadening, texture or thermal motion is included.

Peak list (10 most intense, 10 to 80 degrees two-theta, low angle first)
2θ/deg, d/Å, I_rel
25.62, 3.477, 22
31.18, 2.869, 100
32.43, 2.761, 66
35.36, 2.538, 45
37.58, 2.393, 41
40.24, 2.241, 34
42.81, 2.112, 35
45.66, 1.987, 25
46.57, 1.950, 24
62.81, 1.479, 22

Unit cell a=14.360 b=14.360 c=9.544 alpha=90.00 beta=90.00 gamma=90.00
Space group I4/mmm (No. 139)
Asymmetric unit:
La 0.000 0.237 0.000 (multiplicity 8)
La 0.000 0.249 0.500 (multiplicity 8)
La 0.000 0.500 0.000 (multiplicity 4)
La 0.165 0.165 0.261 (multiplicity 16)
In 0.000 0.000 0.164 (multiplicity 4)
In 0.000 0.000 0.500 (multiplicity 2)
Co 0.000 0.372 0.251 (multiplicity 16)
Co 0.146 0.351 0.125 (multiplicity 32)
Co 0.244 0.244 0.000 (multiplicity 8)

=====

Entry 2:
For LiGaBH3O5, a structure optimized by DFT (PBE) gives the computed XRD peak list in this record (Cu Kα (λ = 1.5418 Å)).
No peak broadening, texture or thermal motion is included.

Peak list (10 most intense, 10 to 80 degrees two-theta, low angle first)
2θ/deg, d/Å, I_rel
14.41, 6.145, 100
21.07, 4.216, 12
22.29, 3.988, 79
25.62, 3.477, 55
29.06, 3.073, 27
30.42, 2.938, 18
36.96, 2.432, 22
42.57, 2.124, 17
43.52, 2.080, 13
47.66, 1.908, 16

Unit cell a=4.878 b=8.417 c=12.291 alpha=90.00 beta=90.00 gamma=90.00
Space group Cc (No. 9)
Asymmetric unit:
Li 0.000 0.000 0.000 (multiplicity 4)
Ga 0.000 0.333 0.114 (multiplicity 4)
B 0.001 0.334 0.562 (multiplicity 4)
H 0.152 0.384 0.293 (multiplicity 4)
H 0.163 0.056 0.810 (multiplicity 4)
H 0.498 0.391 0.810 (multiplicity 4)
O 0.138 0.477 0.561 (multiplicity 4)
O 0.147 0.193 0.561 (multiplicity 4)
O 0.218 0.169 0.061 (multiplicity 4)
O 0.486 0.171 0.765 (multiplicity 4)
O 0.495 0.498 0.338 (multiplicity 4)

=====

Entry 3:
For IrI3, a structure optimized by DFT (PBE) gives the computed XRD peak list in this record (Cu Kα (λ = 1.5418 Å)).
No peak broadening, texture or thermal motion is included.

Peak list (10 most intense, 10 to 80 degrees two-theta, low angle first)
2θ/deg, d/Å, I_rel
12.36, 7.161, 100
15.19, 5.832, 23
17.04, 5.204, 15
30.45, 2.935, 82
30.99, 2.885, 41
38.90, 2.315, 26
41.98, 2.152, 16
42.82, 2.112, 26
45.18, 2.007, 43
55.80, 1.648, 17

Unit cell a=6.956 b=12.040 c=7.473 alpha=90.00 beta=106.61 gamma=90.00
Space group C2/m (No. 12)
Asymmetric unit:
Ir 0.000 0.167 0.000 (multiplicity 4)
I 0.208 0.000 0.208 (multiplicity 4)
I 0.242 0.322 0.208 (multiplicity 8)

=====

Entry 4:
For Sr2YSb2O7, a structure optimized by DFT (PBE) gives the computed XRD peak list in this record (Cu Kα (λ = 1.5418 Å)).
No peak broadening, texture or thermal motion is included.

Peak list (10 most intense, 10 to 80 degrees two-theta, low angle first)
2θ/deg, d/Å, I_rel
15.59, 5.685, 42
21.99, 4.041, 21
25.15, 3.541, 39
28.05, 3.181, 26
28.59, 3.122, 26
29.72, 3.006, 100
35.22, 2.548, 34
42.42, 2.131, 26
55.03, 1.669, 23
57.49, 1.603, 22

Unit cell a=25.446 b=5.832 c=6.244 alpha=90.00 beta=90.00 gamma=90.00
Space group Ima2 (No. 46)
Asymmetric unit:
Sr 0.184 0.135 0.000 (multiplicity 8)
Y 0.000 0.000 0.122 (multiplicity 4)
Sb 0.072 0.002 0.641 (multiplicity 8)
O 0.049 0.702 0.870 (multiplicity 8)
O 0.066 0.194 0.960 (multiplicity 8)
O 0.147 0.502 0.142 (multiplicity 8)
O 0.250 0.199 0.270 (multiplicity 4)

=====

Entry 5:
For Ba2Nd2Si4O13, a structure optimized by DFT (PBE) gives the computed XRD peak list in this record (Cu Kα (λ = 1.5418 Å)).
No peak broadening, texture or thermal motion is included.

Peak list (10 most intense, 10 to 80 degrees two-theta, low angle first)
2θ/deg, d/Å, I_rel
23.48, 3.788, 42
26.26, 3.394, 35
26.94, 3.310, 44
27.32, 3.265, 33
27.51, 3.242, 100
27.69, 3.222, 43
28.59, 3.122, 49
33.44, 2.680, 21
34.07, 2.632, 32
36.20, 2.481, 21

Unit cell a=6.725 b=9.032 c=10.228 alpha=86.48 beta=73.58 gamma=86.45
Space group P-1 (No. 2)
Asymmetric unit:
Ba 0.229 0.330 0.056 (multiplicity 2)
Ba 0.245 0.173 0.426 (multiplicity 2)
Nd 0.189 0.892 0.104 (multiplicity 2)
Nd 0.306 0.620 0.398 (multiplicity 2)
Si 0.111 0.433 0.677 (multiplicity 2)
Si 0.198 0.878 0.655 (multiplicity 2)
Si 0.323 0.614 0.824 (multiplicity 2)
Si 0.395 0.060 0.813 (multiplicity 2)
O 0.017 0.429 0.380 (multiplicity 2)
O 0.028 0.714 0.296 (multiplicity 2)
O 0.031 0.104 0.240 (multiplicity 2)
O 0.152 0.484 0.822 (multiplicity 2)
O 0.169 0.086 0.926 (multiplicity 2)
O 0.196 0.870 0.498 (multiplicity 2)
O 0.221 0.684 0.970 (multiplicity 2)
O 0.332 0.727 0.688 (multiplicity 2)
O 0.338 0.405 0.565 (multiplicity 2)
O 0.350 0.016 0.666 (multiplicity 2)
O 0.447 0.462 0.204 (multiplicity 2)
O 0.468 0.792 0.208 (multiplicity 2)
O 0.471 0.075 0.131 (multiplicity 2)

=====

Entry 6:
For ErTlS2, a structure optimized by DFT (PBE) gives the computed XRD peak list in this record (Cu Kα (λ = 1.5418 Å)).
No peak broadening, texture or thermal motion is included.

Peak list (10 most intense, 10 to 80 degrees two-theta, low angle first)
2θ/deg, d/Å, I_rel
23.61, 3.768, 33
26.93, 3.311, 65
30.27, 2.953, 100
41.24, 2.189, 39
45.36, 1.999, 34
48.07, 1.893, 18
51.77, 1.766, 25
55.51, 1.655, 18
68.43, 1.371, 16
74.40, 1.275, 15

Unit cell a=3.9985 b=3.9985 c=22.6052 alpha=90.00 beta=90.00 gamma=120.00
Space group R-3m (No. 166, hexagonal axes)
Asymmetric unit:
Er 0.0000 0.0000 0.0000 (multiplicity 3)
Tl 0.0000 0.0000 0.5000 (multiplicity 3)
S 0.0000 0.0000 0.2681 (multiplicity 6)

=====

Entry 7:
For Te4Mo3WSe4, a structure optimized by DFT (PBE) gives the computed XRD peak list in this record (Cu Kα (λ = 1.5418 Å)).
No peak broadening, texture or thermal motion is included.

Peak list (10 most intense, 10 to 80 degrees two-theta, low angle first)
2θ/deg, d/Å, I_rel
11.32, 7.814, 100
13.60, 6.512, 15
30.00, 2.979, 55
32.14, 2.785, 15
35.28, 2.544, 99
42.72, 2.116, 65
44.47, 2.037, 22
53.24, 1.721, 41
65.48, 1.425, 16
75.21, 1.263, 18

Unit cell a=3.4418 b=3.4418 c=39.0714 alpha=90.00 beta=90.00 gamma=120.00
Space group P3m1 (No. 156)
Asymmetric unit:
Te 0.0000 0.0000 0.0000 (multiplicity 1)
Te 0.0000 0.0000 0.0948 (multiplicity 1)
Te 0.0000 0.0000 0.6239 (multiplicity 1)
Te 0.0000 0.0000 0.7195 (multiplicity 1)
Mo 0.0000 0.0000 0.4838 (multiplicity 1)
Mo 0.0000 0.0000 0.8595 (multiplicity 1)
Mo 0.3333 0.6667 0.0474 (multiplicity 1)
W 0.3333 0.6667 0.6717 (multiplicity 1)
Se 0.3333 0.6667 0.4419 (multiplicity 1)
Se 0.3333 0.6667 0.5257 (multiplicity 1)
Se 0.3333 0.6667 0.8177 (multiplicity 1)
Se 0.3333 0.6667 0.9014 (multiplicity 1)

=====

Entry 8:
For Rb2RuAuF6, a structure optimized by DFT (PBE) gives the computed XRD peak list in this record (Cu Kα (λ = 1.5418 Å)).
No peak broadening, texture or thermal motion is included.

Peak list (10 most intense, 10 to 80 degrees two-theta, low angle first)
2θ/deg, d/Å, I_rel
17.13, 5.177, 6
19.80, 4.483, 18
28.15, 3.170, 100
33.13, 2.704, 7
40.23, 2.242, 34
45.22, 2.005, 8
49.82, 1.830, 41
58.20, 1.585, 21
65.88, 1.418, 19
73.12, 1.294, 7

Unit cell a=8.967 b=8.967 c=8.967 alpha=90.00 beta=90.00 gamma=90.00
Space group Fm-3m (No. 225)
Asymmetric unit:
Rb 0.250 0.250 0.250 (multiplicity 8)
Ru 0.000 0.000 0.000 (multiplicity 4)
Au 0.000 0.000 0.500 (multiplicity 4)
F 0.000 0.000 0.227 (multiplicity 24)